The following is a calculated X-ray powder pattern of Na2CaMoF8. It was derived from the PBE+U geometry in Alexandria, using Cu Kα.

Structural model:
```
data_Na2CaMoF8
_chemical_formula_sum 'Na2 Ca1 Mo1 F8'
_cell_length_a 3.6927
_cell_length_b 7.6865
_cell_length_c 5.5439
_cell_angle_alpha 90.00
_cell_angle_beta 90.12
_cell_angle_gamma 90.00
_symmetry_space_group_name_H-M 'P 1 2/m 1'
_symmetry_Int_Tables_number 10
loop_
_symmetry_equiv_pos_as_xyz
'x,y,z'
'-x,-y,-z'
'-x,y,-z'
'x,-y,z'
loop_
_atom_site_label
_atom_site_fract_x
_atom_site_fract_y
_atom_site_fract_z
Na1 0.0000 0.2375 0.0000
Ca1 0.5000 0.0000 0.5000
Mo1 0.5000 0.5000 0.5000
F1 0.0010 0.0000 0.7448
F2 0.0007 0.5000 0.7100
F3 0.4992 0.2847 0.2755
```

Principal peaks in the range 2θ = 10–90°, sorted by position:
2θ 11.51, I 32, (0 1 0); 2θ 15.99, I 48, (0 0 1); 2θ 19.74, I 21, (0 1 1); 2θ 23.14, I 14, (0 2 0); 2θ 26.78, I 12, (1 1 0); 2θ 28.25, I 61, (0 2 1); 2θ 29.05, I 59, (1 0 1); 2θ 47.33, I 100, (1 2 2); 2θ 49.36, I 20, (2 0 0); 2θ 55.16, I 11, (0 2 3); 2θ 56.48, I 15, (1 4 1); 2θ 57.85, I 15, (2 2 1)